This entry pairs a crystal structure of LiGaSi2O6 with its simulated X-ray powder pattern. Radiation: a wavelength of 1.5418 Å. Structure: the PBE geometry in the Materials Project.

Most intense lines, 2θ = 10–90°, sorted by position:
2θ 14.1, I = 74, (1 1 0); 2θ 19.9, I = 44, (0 1 1); 2θ 25.4, I = 39, (2 1 -1); 2θ 29.7, I = 100, (1 2 1); 2θ 31.3, I = 65, (3 1 0); 2θ 36.1, I = 31, (2 0 -2); 2θ 37.3, I = 29, (3 2 -1); 2θ 56.0, I = 29, (1 2 -3)

Atomic structure:
```
data_LiGaSi2O6
_chemical_formula_sum 'Li4 Ga4 Si8 O24'
_cell_length_a 9.283
_cell_length_b 8.726
_cell_length_c 5.315
_cell_angle_alpha 90.00
_cell_angle_beta 101.82
_cell_angle_gamma 90.00
_space_group_name_H-M_alt 'P 1'
_space_group_IT_number 1
_space_group_name_Hall 'P 1'
loop_
_atom_site_label
_atom_site_type_symbol
_atom_site_fract_x
_atom_site_fract_y
_atom_site_fract_z
Li1 Li 0.247 0.007 0.011
Li2 Li 0.247 0.493 0.511
Li3 Li 0.753 0.507 0.489
Li4 Li 0.753 0.993 0.989
Ga1 Ga 0.250 0.647 0.013
Ga2 Ga 0.250 0.853 0.513
Ga3 Ga 0.750 0.147 0.487
Ga4 Ga 0.750 0.353 0.987
Si1 Si 0.048 0.160 0.277
Si2 Si 0.048 0.340 0.777
Si3 Si 0.452 0.160 0.703
Si4 Si 0.452 0.340 0.203
Si5 Si 0.548 0.660 0.797
Si6 Si 0.548 0.840 0.297
Si7 Si 0.952 0.660 0.223
Si8 Si 0.952 0.840 0.723
O1 O 0.108 0.235 0.034
O2 O 0.108 0.265 0.534
O3 O 0.116 0.510 0.802
O4 O 0.116 0.990 0.302
O5 O 0.135 0.668 0.290
O6 O 0.135 0.832 0.790
O7 O 0.365 0.666 0.733
O8 O 0.365 0.834 0.233
O9 O 0.378 0.505 0.229
O10 O 0.378 0.995 0.729
O11 O 0.396 0.226 0.410
O12 O 0.396 0.274 0.910
O13 O 0.604 0.726 0.090
O14 O 0.604 0.774 0.590
O15 O 0.622 0.005 0.271
O16 O 0.622 0.495 0.771
O17 O 0.635 0.166 0.767
O18 O 0.635 0.334 0.267
O19 O 0.865 0.168 0.210
O20 O 0.865 0.332 0.710
O21 O 0.884 0.010 0.698
O22 O 0.884 0.490 0.198
O23 O 0.892 0.735 0.466
O24 O 0.892 0.765 0.966
```